This entry pairs a crystal structure of Ba3In3Pt2 with its simulated powder diffractogram. Radiation: Cu Kα X-rays. Structure: a DFT-relaxed cell (PBE, Alexandria).
Intensities are scaled so that the largest is 100.

Principal peaks in the range 5° ≤ 2θ ≤ 70°, sorted by position:
(2 4 0), 2θ 28.83, I = 49
(1 1 2), 2θ 30.00, I = 45
(0 6 0), 2θ 31.27, I = 48
(2 4 1), 2θ 32.07, I = 70
(3 0 1), 2θ 33.06, I = 78
(1 3 2), 2θ 33.52, I = 100
(1 4 2), 2θ 36.35, I = 56
(2 4 3), 2θ 51.90, I = 38

abc: 8.964 17.148 6.426
angles: 90.00 90.00 90.00
Fractional coordinates of all 32 atoms:
Ba1 0.035 0.107 0.101
Ba2 0.035 0.393 0.101
Ba3 0.181 0.250 0.609
Ba4 0.319 0.750 0.109
Ba5 0.465 0.607 0.601
Ba6 0.465 0.893 0.601
Ba7 0.535 0.107 0.399
Ba8 0.535 0.393 0.399
Ba9 0.681 0.250 0.891
Ba10 0.819 0.750 0.391
Ba11 0.965 0.607 0.899
Ba12 0.965 0.893 0.899
In1 0.165 0.750 0.593
In2 0.168 0.038 0.599
In3 0.168 0.462 0.599
In4 0.332 0.538 0.099
In5 0.332 0.962 0.099
In6 0.335 0.250 0.093
In7 0.665 0.750 0.907
In8 0.668 0.038 0.901
In9 0.668 0.462 0.901
In10 0.832 0.538 0.401
In11 0.832 0.962 0.401
In12 0.835 0.250 0.407
Pt1 0.120 0.605 0.383
Pt2 0.120 0.895 0.383
Pt3 0.380 0.105 0.883
Pt4 0.380 0.395 0.883
Pt5 0.620 0.605 0.117
Pt6 0.620 0.895 0.117
Pt7 0.880 0.105 0.617
Pt8 0.880 0.395 0.617